Entry 1:
Structure and theoretical X-ray powder pattern of Li7Mn2Co3O12 (a DFT-relaxed cell (GGA+U, the Materials Project); Cu Ka).

Atomic structure:
a = 5.1491 Å, b = 2.9054 Å, c = 14.5599 Å
α = 90.00°, β = 90.05°, γ = 90.00°
Positions (direct):
Li (0.0000, 0.0000, 0.0000)
Li (0.0011, 0.0000, 0.5060)
Li (0.1402, 0.5000, 0.1480)
Li (0.3434, 0.0000, 0.8398)
Li (0.5006, 0.5000, 0.5072)
Li (0.6618, 0.0000, 0.1591)
Li (0.8588, 0.5000, 0.8450)
Mn (0.5021, 0.5000, 0.0005)
Mn (0.8323, 0.5000, 0.3345)
Co (0.1706, 0.5000, 0.6691)
Co (0.3318, 0.0000, 0.3341)
Co (0.6714, 0.0000, 0.6693)
O (0.0134, 0.0000, 0.7441)
O (0.1542, 0.5000, 0.4069)
O (0.1999, 0.5000, 0.9232)
O (0.3301, 0.0000, 0.5897)
O (0.3478, 0.0000, 0.0756)
O (0.5109, 0.5000, 0.2649)
O (0.5141, 0.5000, 0.7426)
O (0.6528, 0.0000, 0.9283)
O (0.6938, 0.0000, 0.4106)
O (0.8043, 0.5000, 0.0793)
O (0.8305, 0.5000, 0.5908)
O (0.9713, 0.0000, 0.2595)

Top 10 peaks for 10° ≤ 2θ ≤ 90°, low angle first:
12.16°, 7.280 Å, rel. 8; 18.28°, 4.853 Å, rel. 100; 35.42°, 2.535 Å, rel. 16; 36.02°, 2.493 Å, rel. 25; 43.05°, 2.101 Å, rel. 27; 43.55°, 2.078 Å, rel. 53; 47.62°, 1.910 Å, rel. 9; 57.33°, 1.607 Å, rel. 10; 62.90°, 1.477 Å, rel. 29; 66.09°, 1.414 Å, rel. 10

Entry 2:
Structure and theoretical X-ray powder pattern of Li2MnCoO4 (a DFT-relaxed cell (GGA+U, the Materials Project); Cu Ka).

Atomic structure:
a = 9.7570 Å, b = 9.7570 Å, c = 9.7570 Å
α = 17.58°, β = 17.58°, γ = 17.58°
Positions (direct):
Li (0.2483, 0.2483, 0.2483)
Li (0.7517, 0.7517, 0.7517)
Mn (0.0000, 0.0000, 0.0000)
Co (0.5000, 0.5000, 0.5000)
O (0.1287, 0.1287, 0.1287)
O (0.3716, 0.3716, 0.3716)
O (0.6284, 0.6284, 0.6284)
O (0.8713, 0.8713, 0.8713)

Top 10 peaks for 10° ≤ 2θ ≤ 90°, low angle first:
18.48°, 4.802 Å, rel. 100; 35.30°, 2.542 Å, rel. 45; 36.97°, 2.431 Å, rel. 14; 43.10°, 2.099 Å, rel. 83; 47.26°, 1.923 Å, rel. 15; 57.24°, 1.610 Å, rel. 14; 62.26°, 1.491 Å, rel. 24; 62.92°, 1.477 Å, rel. 22; 65.55°, 1.424 Å, rel. 15; 78.71°, 1.216 Å, rel. 11

Entry 3:
Structure and theoretical X-ray powder pattern of Li3MnCoO5 (a DFT-relaxed cell (GGA+U, the Materials Project); Cu Ka).

Atomic structure:
a = 7.8411 Å, b = 7.8411 Å, c = 8.3219 Å
α = 104.93°, β = 104.93°, γ = 21.44°
Positions (direct):
Li (0.0000, 0.0000, 0.0000)
Li (0.9997, 0.9997, 0.4908)
Li (0.1987, 0.1987, 0.5916)
Li (0.4132, 0.4132, 0.2121)
Li (0.6011, 0.6011, 0.7765)
Li (0.8065, 0.8065, 0.3968)
Mn (0.2014, 0.2014, 0.0955)
Mn (0.4049, 0.4049, 0.6862)
Co (0.5971, 0.5971, 0.3177)
Co (0.8045, 0.8045, 0.8943)
O (0.0080, 0.0080, 0.2420)
O (0.1975, 0.1975, 0.3181)
O (0.2105, 0.2105, 0.8598)
O (0.3946, 0.3946, 0.9296)
O (0.4012, 0.4012, 0.4671)
O (0.6078, 0.6078, 0.5365)
O (0.6166, 0.6166, 0.0451)
O (0.7912, 0.7912, 0.1339)
O (0.8143, 0.8143, 0.6564)
O (0.9897, 0.9897, 0.7430)

Top 10 peaks for 10° ≤ 2θ ≤ 90°, low angle first:
11.02°, 8.031 Å, rel. 11; 11.90°, 7.435 Å, rel. 12; 13.95°, 6.348 Å, rel. 8; 18.26°, 4.858 Å, rel. 100; 35.83°, 2.506 Å, rel. 12; 35.99°, 2.496 Å, rel. 24; 43.47°, 2.082 Å, rel. 85; 57.20°, 1.611 Å, rel. 11; 62.98°, 1.476 Å, rel. 16; 63.38°, 1.468 Å, rel. 14

Entry 4:
Structure and theoretical X-ray powder pattern of Li4MnCo2O7 (a DFT-relaxed cell (GGA+U, the Materials Project); Cu Ka).

Atomic structure:
a = 5.0817 Å, b = 5.1552 Å, c = 10.4978 Å
α = 84.73°, β = 77.26°, γ = 70.29°
Positions (direct):
Li (0.0000, 0.0000, 0.0000)
Li (0.0704, 0.4962, 0.8651)
Li (0.2088, 0.5007, 0.5730)
Li (0.3630, 0.4988, 0.2817)
Li (0.5000, 0.5000, 0.0000)
Li (0.6370, 0.5012, 0.7183)
Li (0.7912, 0.4993, 0.4270)
Li (0.9296, 0.5038, 0.1349)
Mn (0.1392, 0.0025, 0.7192)
Mn (0.8608, 0.9975, 0.2808)
Co (0.2851, 0.9990, 0.4284)
Co (0.4212, 0.0072, 0.1363)
Co (0.5788, 0.9928, 0.8637)
Co (0.7149, 0.0010, 0.5716)
O (0.0270, 0.7689, 0.4268)
O (0.1023, 0.2205, 0.2921)
O (0.1618, 0.7734, 0.1570)
O (0.2749, 0.2406, 0.0052)
O (0.3157, 0.7682, 0.8448)
O (0.3856, 0.2198, 0.7165)
O (0.4431, 0.7775, 0.5724)
O (0.5569, 0.2225, 0.4276)
O (0.6144, 0.7802, 0.2835)
O (0.6843, 0.2318, 0.1552)
O (0.7251, 0.7594, 0.9948)
O (0.8382, 0.2266, 0.8430)
O (0.8977, 0.7795, 0.7079)
O (0.9730, 0.2311, 0.5732)

Top 10 peaks for 10° ≤ 2θ ≤ 90°, low angle first:
18.28°, 4.852 Å, rel. 100; 35.54°, 2.526 Å, rel. 14; 35.83°, 2.506 Å, rel. 14; 36.44°, 2.466 Å, rel. 12; 42.96°, 2.105 Å, rel. 30; 43.24°, 2.092 Å, rel. 29; 44.26°, 2.047 Å, rel. 26; 62.39°, 1.488 Å, rel. 8; 62.79°, 1.480 Å, rel. 8; 63.14°, 1.473 Å, rel. 8

Entry 5:
Structure and theoretical X-ray powder pattern of Li4MnCo2O7 (a DFT-relaxed cell (GGA+U, the Materials Project); Cu Ka).

Atomic structure:
a = 17.1788 Å, b = 17.1788 Å, c = 5.2624 Å
α = 95.97°, β = 95.97°, γ = 9.53°
Positions (direct):
Li (0.0000, 0.0000, 0.0000)
Li (0.0662, 0.0662, 0.3815)
Li (0.2176, 0.2176, 0.0723)
Li (0.3582, 0.3582, 0.7794)
Li (0.5005, 0.5005, 0.5074)
Li (0.6400, 0.6400, 0.2093)
Li (0.7879, 0.7879, 0.9242)
Li (0.9297, 0.9297, 0.6296)
Mn (0.1418, 0.1418, 0.7219)
Mn (0.7158, 0.7158, 0.5748)
Co (0.2877, 0.2877, 0.4234)
Co (0.4330, 0.4330, 0.1082)
Co (0.5649, 0.5649, 0.8917)
Co (0.8579, 0.8579, 0.2934)
O (0.0376, 0.0376, 0.6888)
O (0.1078, 0.1078, 0.9867)
O (0.1792, 0.1792, 0.4433)
O (0.2484, 0.2484, 0.7369)
O (0.3251, 0.3251, 0.1379)
O (0.3886, 0.3886, 0.4497)
O (0.4610, 0.4610, 0.8359)
O (0.5392, 0.5392, 0.1679)
O (0.6128, 0.6128, 0.5441)
O (0.6738, 0.6738, 0.8925)
O (0.7515, 0.7515, 0.2559)
O (0.8200, 0.8200, 0.6077)
O (0.8971, 0.8971, 0.9947)
O (0.9592, 0.9592, 0.3002)

Top 10 peaks for 10° ≤ 2θ ≤ 90°, low angle first:
18.25°, 4.862 Å, rel. 100; 34.34°, 2.611 Å, rel. 15; 36.50°, 2.461 Å, rel. 24; 36.97°, 2.432 Å, rel. 7; 41.26°, 2.188 Å, rel. 30; 44.35°, 2.042 Å, rel. 53; 47.19°, 1.926 Å, rel. 9; 58.28°, 1.583 Å, rel. 9; 62.17°, 1.493 Å, rel. 28; 65.41°, 1.427 Å, rel. 7

Entry 6:
Structure and theoretical X-ray powder pattern of Li4MnCo2O7 (a DFT-relaxed cell (GGA+U, the Materials Project); Cu Ka).

Atomic structure:
a = 5.1456 Å, b = 7.7129 Å, c = 7.7378 Å
α = 60.65°, β = 71.12°, γ = 83.84°
Positions (direct):
Li (0.0000, 0.0000, 0.0000)
Li (0.0008, 0.7067, 0.4353)
Li (0.0036, 0.8567, 0.7122)
Li (0.0046, 0.4298, 0.8520)
Li (0.5000, 0.5000, 0.5000)
Li (0.9954, 0.5702, 0.1480)
Li (0.9964, 0.1433, 0.2878)
Li (0.9992, 0.2933, 0.5647)
Mn (0.4964, 0.7844, 0.0734)
Mn (0.5036, 0.2156, 0.9266)
Co (0.4931, 0.6406, 0.7767)
Co (0.4945, 0.0767, 0.6399)
Co (0.5055, 0.9233, 0.3601)
Co (0.5069, 0.3594, 0.2233)
O (0.2649, 0.6829, 0.6146)
O (0.2680, 0.1057, 0.4567)
O (0.2682, 0.5550, 0.2975)
O (0.2785, 0.3815, 0.0307)
O (0.2779, 0.8216, 0.8961)
O (0.2776, 0.9684, 0.1615)
O (0.2799, 0.2355, 0.7561)
O (0.7201, 0.7645, 0.2439)
O (0.7224, 0.0316, 0.8385)
O (0.7221, 0.1784, 0.1039)
O (0.7215, 0.6185, 0.9693)
O (0.7318, 0.4450, 0.7025)
O (0.7320, 0.8943, 0.5433)
O (0.7351, 0.3171, 0.3854)

Top 10 peaks for 10° ≤ 2θ ≤ 90°, low angle first:
13.77°, 6.430 Å, rel. 8; 18.26°, 4.859 Å, rel. 100; 35.72°, 2.514 Å, rel. 14; 35.90°, 2.501 Å, rel. 13; 36.18°, 2.483 Å, rel. 13; 43.23°, 2.093 Å, rel. 29; 43.44°, 2.083 Å, rel. 28; 43.72°, 2.070 Å, rel. 27; 47.46°, 1.916 Å, rel. 9; 62.79°, 1.480 Å, rel. 23

Entry 7:
Structure and theoretical X-ray powder pattern of Li7Mn2Co3O12 (a DFT-relaxed cell (GGA+U, the Materials Project); Cu Ka).

Atomic structure:
a = 2.9416 Å, b = 6.4627 Å, c = 11.8882 Å
α = 103.64°, β = 92.27°, γ = 103.07°
Positions (direct):
Li (0.0000, 0.0000, 0.0000)
Li (0.0011, 0.9930, 0.4982)
Li (0.3228, 0.6573, 0.5852)
Li (0.3265, 0.6606, 0.3343)
Li (0.3309, 0.6571, 0.8256)
Li (0.6615, 0.3265, 0.1686)
Li (0.6739, 0.3444, 0.6628)
Mn (0.3406, 0.6642, 0.0812)
Mn (0.9877, 0.9859, 0.7452)
Co (0.6683, 0.3457, 0.4233)
Co (0.6736, 0.3294, 0.9133)
Co (0.9968, 0.0005, 0.2512)
O (0.1363, 0.3254, 0.5314)
O (0.1503, 0.3167, 0.8035)
O (0.1775, 0.3118, 0.2936)
O (0.1911, 0.3382, 0.0265)
O (0.4798, 0.9993, 0.6399)
O (0.4813, 0.0179, 0.3698)
O (0.5139, 0.0116, 0.8631)
O (0.5230, 0.9883, 0.1273)
O (0.8156, 0.6783, 0.2043)
O (0.8194, 0.6342, 0.4499)
O (0.8360, 0.6857, 0.7123)
O (0.8600, 0.6495, 0.9610)

Top 10 peaks for 10° ≤ 2θ ≤ 90°, low angle first:
18.36°, 4.831 Å, rel. 100; 35.30°, 2.543 Å, rel. 15; 36.52°, 2.460 Å, rel. 12; 36.69°, 2.449 Å, rel. 11; 42.40°, 2.132 Å, rel. 31; 44.21°, 2.049 Å, rel. 27; 44.61°, 2.031 Å, rel. 26; 62.56°, 1.485 Å, rel. 8; 63.06°, 1.474 Å, rel. 8; 63.28°, 1.470 Å, rel. 8

Entry 8:
Structure and theoretical X-ray powder pattern of Li3MnCoO5 (a DFT-relaxed cell (GGA+U, the Materials Project); Cu Ka).

Atomic structure:
a = 2.9147 Å, b = 5.9351 Å, c = 10.4719 Å
α = 97.26°, β = 97.36°, γ = 91.29°
Positions (direct):
Li (0.0000, 0.0000, 0.0000)
Li (0.0228, 0.4835, 0.0039)
Li (0.2074, 0.0864, 0.3898)
Li (0.4195, 0.7023, 0.8119)
Li (0.6009, 0.2734, 0.1800)
Li (0.8078, 0.8921, 0.5966)
Mn (0.2041, 0.5885, 0.3946)
Mn (0.4246, 0.1864, 0.8025)
Co (0.5887, 0.7991, 0.1746)
Co (0.8229, 0.3884, 0.5972)
O (0.1063, 0.0283, 0.2014)
O (0.1148, 0.5465, 0.2131)
O (0.2775, 0.6234, 0.5880)
O (0.3621, 0.1574, 0.6024)
O (0.5019, 0.2387, 0.9781)
O (0.5126, 0.7345, 0.0030)
O (0.7076, 0.3658, 0.4069)
O (0.7110, 0.8053, 0.3964)
O (0.9131, 0.9688, 0.7939)
O (0.9276, 0.4110, 0.7856)

Top 10 peaks for 10° ≤ 2θ ≤ 90°, low angle first:
15.06°, 5.883 Å, rel. 8; 18.32°, 4.843 Å, rel. 100; 35.70°, 2.515 Å, rel. 14; 36.22°, 2.480 Å, rel. 11; 36.47°, 2.464 Å, rel. 12; 43.02°, 2.103 Å, rel. 31; 43.97°, 2.059 Å, rel. 27; 44.05°, 2.056 Å, rel. 28; 57.88°, 1.593 Å, rel. 9; 63.09°, 1.473 Å, rel. 8

Entry 9:
Structure and theoretical X-ray powder pattern of Li7Mn4CoO12 (a DFT-relaxed cell (GGA+U, the Materials Project); Cu Ka).

Atomic structure:
a = 5.0348 Å, b = 5.0351 Å, c = 9.8811 Å
α = 78.70°, β = 86.99°, γ = 62.50°
Positions (direct):
Li (0.0000, 0.0000, 0.0000)
Li (0.0006, 0.4999, 0.5118)
Li (0.3359, 0.8258, 0.5163)
Li (0.3410, 0.3402, 0.0039)
Li (0.6702, 0.4152, 0.7581)
Li (0.6729, 0.6636, 0.0044)
Li (0.6767, 0.1678, 0.5123)
Mn (0.0048, 0.2495, 0.2575)
Mn (0.3380, 0.5823, 0.2590)
Mn (0.3391, 0.0842, 0.7581)
Mn (0.6706, 0.9166, 0.2579)
Co (0.0020, 0.7471, 0.7581)
O (0.0278, 0.0933, 0.6471)
O (0.0281, 0.5978, 0.1407)
O (0.0396, 0.3748, 0.8657)
O (0.3024, 0.4653, 0.6488)
O (0.3114, 0.7358, 0.8692)
O (0.3149, 0.2335, 0.3764)
O (0.3626, 0.9309, 0.1406)
O (0.6477, 0.5659, 0.3791)
O (0.6658, 0.8202, 0.6506)
O (0.6837, 0.0113, 0.8674)
O (0.6946, 0.2669, 0.1370)
O (0.9790, 0.9017, 0.3752)

Top 10 peaks for 10° ≤ 2θ ≤ 90°, low angle first:
18.33°, 4.840 Å, rel. 100; 34.63°, 2.590 Å, rel. 19; 36.41°, 2.467 Å, rel. 23; 41.58°, 2.172 Å, rel. 35; 44.33°, 2.044 Å, rel. 56; 47.23°, 1.924 Å, rel. 10; 58.36°, 1.581 Å, rel. 10; 62.40°, 1.488 Å, rel. 33; 63.96°, 1.456 Å, rel. 7; 65.00°, 1.435 Å, rel. 7

Entry 10:
Structure and theoretical X-ray powder pattern of Li2MnCoO4 (a DFT-relaxed cell (GGA+U, the Materials Project); Cu Ka).

Atomic structure:
a = 5.1311 Å, b = 5.9568 Å, c = 5.0599 Å
α = 90.00°, β = 109.27°, γ = 90.00°
Positions (direct):
Li (0.0000, 0.1220, 0.2500)
Li (0.0000, 0.3700, 0.7500)
Li (0.0000, 0.6300, 0.2500)
Li (0.0000, 0.8780, 0.7500)
Mn (0.5000, 0.3747, 0.2500)
Mn (0.5000, 0.6253, 0.7500)
Co (0.5000, 0.1183, 0.7500)
Co (0.5000, 0.8817, 0.2500)
O (0.2660, 0.1468, 0.0208)
O (0.2660, 0.8532, 0.5208)
O (0.2796, 0.3906, 0.4978)
O (0.2796, 0.6094, 0.9978)
O (0.7204, 0.3906, 0.0022)
O (0.7204, 0.6094, 0.5022)
O (0.7340, 0.1468, 0.4792)
O (0.7340, 0.8532, 0.9792)

Top 10 peaks for 10° ≤ 2θ ≤ 90°, low angle first:
18.32°, 4.844 Å, rel. 100; 35.52°, 2.527 Å, rel. 28; 36.03°, 2.493 Å, rel. 14; 37.13°, 2.421 Å, rel. 15; 43.17°, 2.096 Å, rel. 52; 43.57°, 2.077 Å, rel. 25; 47.23°, 1.924 Å, rel. 10; 57.08°, 1.614 Å, rel. 12; 62.64°, 1.483 Å, rel. 14; 63.37°, 1.468 Å, rel. 14